Computed X-ray diffraction stick pattern
Compound: Y2Ag3Au
Radiation: Cu Ka
Structure: a crystal structure in OQMD, relaxed with PBE
Neutral-atom scattering factors, no anomalous dispersion.

Structural model:
Cell: 3.7287 3.7287 9.2165 Å, 90.00 90.00 90.00°
Space group P4mm (No. 99)
Unique sites:
Y  0.0000  0.0000  0.0000
Y  0.5000  0.5000  0.4907
Ag  0.0000  0.0000  0.6696
Ag  0.5000  0.5000  0.1645
Ag  0.5000  0.5000  0.8266
Au  0.0000  0.0000  0.3333

Peak list (10 most intense, 15° ≤ 2θ ≤ 90°, low angle first)
2θ (°)	Rel. int.	hkl
34.0	68	1 1 0
37.9	100	1 0 3
48.9	24	2 0 0
60.2	6	0 0 6
63.5	42	2 1 3
71.0	15	1 1 6
71.6	7	2 2 0
81.1	10	2 0 6
81.7	10	3 1 0
84.0	10	3 0 3



Computed X-ray diffraction stick pattern
Compound: Zr2AgAu
Radiation: Cu Ka
Structure: a crystal structure in OQMD, relaxed with PBE
Neutral-atom scattering factors, no anomalous dispersion.

Structural model:
Cell: 4.9901 4.9912 6.4825 Å, 90.00 90.00 90.00°
Space group Pma2 (No. 28)
Unique sites:
Zr  0.2500  0.2495  0.0000
Zr  0.2500  0.7496  0.2916
Ag  0.2500  0.7491  0.7615
Au  0.2500  0.2492  0.5193

Peak list (10 most intense, 15° ≤ 2θ ≤ 90°, low angle first)
2θ (°)	Rel. int.	hkl
36.0	58	2 0 0
37.7	100	1 1 2
38.7	6	2 0 1
51.8	20	2 2 0
56.8	7	0 0 4
65.8	38	3 1 2
69.1	15	2 0 4
80.5	10	2 2 4
87.4	9	4 2 0
88.4	9	3 3 2



What did the second record say?
Computed X-ray diffraction stick pattern
Compound: Zr2AgAu
Radiation: Cu Ka
Structure: a crystal structure in OQMD, relaxed with PBE
Neutral-atom scattering factors, no anomalous dispersion.

Structural model:
Cell: 4.9901 4.9912 6.4825 Å, 90.00 90.00 90.00°
Space group Pma2 (No. 28)
Unique sites:
Zr  0.2500  0.2495  0.0000
Zr  0.2500  0.7496  0.2916
Ag  0.2500  0.7491  0.7615
Au  0.2500  0.2492  0.5193

Peak list (10 most intense, 15° ≤ 2θ ≤ 90°, low angle first)
2θ (°)	Rel. int.	hkl
36.0	58	2 0 0
37.7	100	1 1 2
38.7	6	2 0 1
51.8	20	2 2 0
56.8	7	0 0 4
65.8	38	3 1 2
69.1	15	2 0 4
80.5	10	2 2 4
87.4	9	4 2 0
88.4	9	3 3 2